For NaLaP2O7, a crystal structure in the Materials Project, relaxed with GGA-PBE gives the simulated X-ray diffraction stick pattern in this record (copper Kα).

Largest 8 diffraction maxima, in order of rising 2θ, 15° ≤ 2θ ≤ 90°:
| two_theta | I (rel.) |
| --- | --- |
| 17.93 | 45 |
| 21.45 | 39 |
| 26.28 | 55 |
| 26.67 | 99 |
| 27.20 | 100 |
| 33.42 | 44 |
| 41.88 | 57 |
| 44.96 | 61 |

```
NaLaP2O7
1.0
8.7566 0.0000 0.0000
0.0000 5.3628 0.0000
0.0000 0.0000 12.8219
Na La P O
4 4 8 28
direct
0.1211 0.2500 0.0791 Na
0.3789 0.7500 0.5791 Na
0.6211 0.2500 0.4209 Na
0.8789 0.7500 0.9209 Na
0.1830 0.2500 0.7641 La
0.3170 0.7500 0.2641 La
0.6830 0.2500 0.7359 La
0.8170 0.7500 0.2359 La
0.0167 0.2500 0.3189 P
0.2337 0.7500 0.9668 P
0.2663 0.2500 0.4668 P
0.4833 0.7500 0.8189 P
0.5167 0.2500 0.1811 P
0.7337 0.7500 0.5332 P
0.7663 0.2500 0.0332 P
0.9833 0.7500 0.6811 P
0.0722 0.0084 0.2655 O
0.0722 0.4916 0.2655 O
0.0853 0.2500 0.4361 O
0.1563 0.7500 0.6750 O
0.1604 0.5143 0.9210 O
0.1604 0.9857 0.9210 O
0.2325 0.7500 0.0854 O
0.2675 0.2500 0.5854 O
0.3396 0.0143 0.4210 O
0.3396 0.4857 0.4210 O
0.3437 0.2500 0.1750 O
0.4147 0.7500 0.9361 O
0.4278 0.5084 0.7655 O
0.4278 0.9916 0.7655 O
0.5722 0.0084 0.2345 O
0.5722 0.4916 0.2345 O
0.5853 0.2500 0.0639 O
0.6563 0.7500 0.8250 O
0.6604 0.5143 0.5790 O
0.6604 0.9857 0.5790 O
0.7325 0.7500 0.4146 O
0.7675 0.2500 0.9146 O
0.8396 0.0143 0.0790 O
0.8396 0.4857 0.0790 O
0.8437 0.2500 0.3250 O
0.9147 0.7500 0.5639 O
0.9278 0.5084 0.7345 O
0.9278 0.9916 0.7345 O
```